1.
Starting from a GGA-PBE-relaxed structure, the X-ray powder pattern of HfGaPt was calculated for CuKα.
Kinematic intensities with the Lorentz-polarization factor, no thermal factor.

Cell and atoms:
Lattice parameters (Å, degrees): 7.1761 7.1761 7.0582 90.00 90.00 120.00
Space group P-62c (No. 190)
One atom of each set of equivalent atoms:
Hf1 0.0235 0.6148 0.2500
Ga1 0.0000 0.2685 0.0000
Pt1 0.0000 0.0000 0.2500
Pt2 0.3333 0.6667 0.5324

Largest 10 diffraction maxima, by intensity, 2θ = 10–80°:
- d 2.332, rel. 100, hkl 2 0 2
- d 2.516, rel. 96, hkl 1 1 2
- d 2.072, rel. 70, hkl 3 0 0
- d 1.955, rel. 42, hkl 2 1 2
- d 1.322, rel. 37, hkl 3 2 2
- d 3.588, rel. 36, hkl 1 1 0
- d 2.349, rel. 27, hkl 2 1 0
- d 1.343, rel. 27, hkl 3 0 4
- d 1.765, rel. 21, hkl 0 0 4
- d 3.069, rel. 18, hkl 1 0 2

2.
Starting from a GGA-PBE-relaxed structure, the X-ray powder pattern of Hf6GaRe was calculated for CuKα.
Kinematic intensities with the Lorentz-polarization factor, no thermal factor.

Cell and atoms:
Lattice parameters (Å, degrees): 6.065 6.068 6.869 90.30 115.98 119.74
Space group P-1 (No. 2)
One atom of each set of equivalent atoms:
Hf1 0.010 0.055 0.261
Hf2 0.290 0.542 0.739
Hf3 0.306 0.752 0.261
Ga1 0.500 0.000 0.000
Re1 0.500 0.500 0.500

Largest 10 diffraction maxima, by intensity, 2θ = 10–80°:
- d 2.706, rel. 100, hkl 1 -2 1
- d 2.694, rel. 50, hkl -2 1 2
- d 2.122, rel. 39, hkl 1 1 1
- d 3.392, rel. 28, hkl 1 0 -2
- d 2.959, rel. 26, hkl 0 0 2
- d 1.756, rel. 25, hkl 0 3 -1
- d 2.113, rel. 20, hkl -2 1 3
- d 2.522, rel. 19, hkl 2 0 -2
- d 1.657, rel. 15, hkl 2 -1 2
- d 1.749, rel. 13, hkl -3 3 1

3.
Starting from a GGA-PBE-relaxed structure, the X-ray powder pattern of HfZrGaRe was calculated for CuKα.
Kinematic intensities with the Lorentz-polarization factor, no thermal factor.

Cell and atoms:
Lattice parameters (Å, degrees): 6.647 6.647 6.647 90.00 90.00 90.00
Space group F-43m (No. 216)
One atom of each set of equivalent atoms:
Hf1 0.000 0.000 0.000
Zr1 0.000 0.000 0.500
Ga1 0.250 0.250 0.750
Re1 0.250 0.250 0.250

Largest 7 diffraction maxima, by intensity, 2θ = 10–80°:
- d 2.350, rel. 100, hkl 2 2 0
- d 1.357, rel. 35, hkl 4 2 2
- d 1.662, rel. 17, hkl 4 0 0
- d 3.838, rel. 16, hkl 1 1 1
- d 2.004, rel. 9, hkl 3 1 1
- d 1.525, rel. 4, hkl 3 3 1
- d 1.279, rel. 3, hkl 5 1 1

4.
Starting from a GGA-PBE-relaxed structure, the X-ray powder pattern of Hf3GaRh4 was calculated for CuKα.
Kinematic intensities with the Lorentz-polarization factor, no thermal factor.

Cell and atoms:
Lattice parameters (Å, degrees): 9.267 6.184 4.649 90.00 90.00 90.00
Space group Pmma (No. 51)
One atom of each set of equivalent atoms:
Hf1 0.000 0.000 0.000
Hf2 0.250 0.000 0.480
Hf3 0.250 0.500 0.463
Ga1 0.000 0.500 0.000
Rh1 0.000 0.249 0.500
Rh2 0.250 0.252 0.963

Largest 10 diffraction maxima, by intensity, 2θ = 10–80°:
- d 2.251, rel. 100, hkl 2 2 1
- d 2.317, rel. 27, hkl 4 0 0
- d 2.324, rel. 25, hkl 0 0 2
- d 1.324, rel. 18, hkl 6 2 1
- d 1.641, rel. 17, hkl 4 0 2
- d 1.327, rel. 15, hkl 2 2 3
- d 1.286, rel. 8, hkl 4 4 0
- d 1.546, rel. 8, hkl 0 4 0
- d 1.287, rel. 8, hkl 0 4 2
- d 3.282, rel. 4, hkl 2 0 1

5.
Starting from a GGA-PBE-relaxed structure, the X-ray powder pattern of HfGa2Rh4 was calculated for CuKα.
Kinematic intensities with the Lorentz-polarization factor, no thermal factor.

Cell and atoms:
Lattice parameters (Å, degrees): 4.757 4.757 12.412 90.00 90.00 90.00
Space group I4/mmm (No. 139)
One atom of each set of equivalent atoms:
Hf1 0.000 0.000 0.000
Ga1 0.000 0.000 0.390
Rh1 0.000 0.000 0.197
Rh2 0.000 0.500 0.000

Largest 10 diffraction maxima, by intensity, 2θ = 10–80°:
- d 2.379, rel. 100, hkl 2 0 0
- d 2.201, rel. 79, hkl 1 0 5
- d 6.206, rel. 61, hkl 0 0 2
- d 1.615, rel. 60, hkl 2 1 5
- d 3.364, rel. 48, hkl 1 1 0
- d 1.682, rel. 34, hkl 2 2 0
- d 4.442, rel. 31, hkl 1 0 1
- d 2.957, rel. 20, hkl 1 1 2
- d 2.221, rel. 18, hkl 2 0 2
- d 3.103, rel. 17, hkl 0 0 4

6.
Starting from a GGA-PBE-relaxed structure, the X-ray powder pattern of Hf4GaRu2 was calculated for CuKα.
Kinematic intensities with the Lorentz-polarization factor, no thermal factor.

Cell and atoms:
Lattice parameters (Å, degrees): 4.870 4.870 13.026 90.00 90.00 90.00
Space group I4/mmm (No. 139)
One atom of each set of equivalent atoms:
Hf1 0.000 0.000 0.200
Hf2 0.000 0.500 0.000
Ga1 0.000 0.000 0.000
Ru1 0.000 0.000 0.388

Largest 10 diffraction maxima, by intensity, 2θ = 10–80°:
- d 3.044, rel. 100, hkl 1 1 2
- d 2.435, rel. 95, hkl 2 0 0
- d 2.297, rel. 63, hkl 1 0 5
- d 1.671, rel. 47, hkl 2 1 5
- d 1.722, rel. 33, hkl 2 2 0
- d 1.499, rel. 25, hkl 3 1 2
- d 2.366, rel. 24, hkl 1 1 4
- d 3.444, rel. 20, hkl 1 1 0
- d 6.513, rel. 17, hkl 0 0 2
- d 1.950, rel. 14, hkl 2 0 4

Number 2 is which compound?
Hf6GaRe